1.
Computed XRD peak list of Ag7Ir for a wavelength of 1.5418 Å, from the GGA-PBE geometry in Alexandria.
Intensities are scaled so that the largest is 100.

Atomic structure:
Cell: 8.215 8.215 8.215 Å, 90.00 90.00 90.00°
Space group Fm-3m (No. 225)
Asymmetric unit:
Ag1 0.000 0.000 0.000 [4 per cell]
Ag2 0.000 0.250 0.250 [24 per cell]
Ir1 0.000 0.000 0.500 [4 per cell]

Principal peaks in the range 2θ = 15–90°, in order of rising 2θ:
(1 1 1), 2θ = 18.7°, intensity 3
(2 0 0), 2θ = 21.6°, intensity 2
(3 1 1), 2θ = 36.3°, intensity 2
(2 2 2), 2θ = 37.9°, intensity 100
(4 0 0), 2θ = 44.1°, intensity 48
(4 4 0), 2θ = 64.1°, intensity 30
(6 2 2), 2θ = 77.0°, intensity 36
(4 4 4), 2θ = 81.1°, intensity 10



2.
Computed XRD peak list of AgHgBi2Se4 for a wavelength of 1.5418 Å, from the GGA-PBE geometry in Alexandria.
Intensities are scaled so that the largest is 100.

Atomic structure:
Cell: 7.223 4.244 7.343 Å, 90.00 110.07 90.00°
Space group P2/m (No. 10)
Asymmetric unit:
Ag1 0.000 0.000 0.000 [1 per cell]
Hg1 0.000 0.500 0.500 [1 per cell]
Bi1 0.500 0.000 0.500 [1 per cell]
Bi2 0.500 0.500 0.000 [1 per cell]
Se1 0.246 0.500 0.242 [2 per cell]
Se2 0.249 0.000 0.755 [2 per cell]

Principal peaks in the range 2θ = 15–90°, in order of rising 2θ:
(0 0 2), 2θ = 25.8°, intensity 22
(1 1 1), 2θ = 30.0°, intensity 100
(0 2 0), 2θ = 42.6°, intensity 39
(3 1 -1), 2θ = 43.2°, intensity 25
(2 0 2), 2θ = 43.4°, intensity 12
(2 2 -2), 2θ = 53.0°, intensity 14
(1 3 1), 2θ = 70.2°, intensity 12
(3 3 -1), 2θ = 78.4°, intensity 9



3.
Computed XRD peak list of GaHgS2 for a wavelength of 1.5418 Å, from the GGA-PBE geometry in Alexandria.
Intensities are scaled so that the largest is 100.

Atomic structure:
Cell: 9.916 7.888 6.064 Å, 90.00 127.51 90.00°
Space group C2/c (No. 15)
Asymmetric unit:
Ga1 0.000 0.000 0.250 [4 per cell]
Hg1 0.000 0.500 0.000 [4 per cell]
S1 0.157 0.157 0.156 [8 per cell]

Principal peaks in the range 2θ = 15–90°, in order of rising 2θ:
(1 1 0), 2θ = 15.9°, intensity 37
(2 0 0), 2θ = 22.6°, intensity 100
(2 2 0), 2θ = 32.1°, intensity 56
(3 1 -2), 2θ = 33.7°, intensity 79
(3 1 0), 2θ = 36.1°, intensity 27
(1 3 -2), 2θ = 47.2°, intensity 68
(5 1 -2), 2θ = 47.3°, intensity 22
(4 2 0), 2θ = 51.9°, intensity 30



4.
Computed XRD peak list of Pd5Pb2 for a wavelength of 1.5418 Å, from the GGA-PBE geometry in Alexandria.
Intensities are scaled so that the largest is 100.

Atomic structure:
Cell: 6.806 12.827 5.857 Å, 90.00 90.00 90.00°
Space group Cccm (No. 66)
Asymmetric unit:
Pd1 0.000 0.000 0.250 [4 per cell]
Pd2 0.000 0.229 0.250 [8 per cell]
Pd3 0.212 0.380 0.000 [8 per cell]
Pb1 0.204 0.394 0.500 [8 per cell]

Principal peaks in the range 2θ = 15–90°, in order of rising 2θ:
(1 1 2), 2θ = 34.1°, intensity 31
(1 5 0), 2θ = 37.5°, intensity 26
(2 4 0), 2θ = 38.6°, intensity 97
(3 1 0), 2θ = 40.4°, intensity 32
(2 0 2), 2θ = 40.6°, intensity 100
(0 4 2), 2θ = 41.8°, intensity 95
(3 5 2), 2θ = 63.3°, intensity 32
(2 4 4), 2θ = 76.9°, intensity 26



5.
Computed XRD peak list of Hf3Ti2Pb5O15 for a wavelength of 1.5418 Å, from the GGA-PBE geometry in Alexandria.
Intensities are scaled so that the largest is 100.

Atomic structure:
Cell: 17.326 5.816 7.170 Å, 90.00 103.99 90.00°
Space group Cm (No. 8)
Asymmetric unit:
Hf1 0.000 0.000 0.000 [2 per cell]
Hf2 0.100 0.500 0.390 [2 per cell]
Hf3 0.202 0.000 0.791 [2 per cell]
Ti1 0.304 0.500 0.206 [2 per cell]
Ti2 0.406 0.000 0.618 [2 per cell]
Pb1 0.015 0.000 0.526 [2 per cell]
Pb2 0.123 0.500 0.926 [2 per cell]
Pb3 0.223 0.000 0.323 [2 per cell]
Pb4 0.310 0.500 0.739 [2 per cell]
Pb5 0.408 0.000 0.146 [2 per cell]
O1 0.040 0.257 0.184 [4 per cell]
O2 0.092 0.000 0.869 [2 per cell]
O3 0.142 0.242 0.579 [4 per cell]
O4 0.195 0.500 0.265 [2 per cell]
O5 0.244 0.264 0.974 [4 per cell]
O6 0.296 0.000 0.656 [2 per cell]
O7 0.342 0.248 0.363 [4 per cell]
O8 0.388 0.500 0.065 [2 per cell]
O9 0.441 0.251 0.772 [4 per cell]
O10 0.488 0.000 0.475 [2 per cell]

Principal peaks in the range 2θ = 15–90°, in order of rising 2θ:
(2 0 2), 2θ = 30.1°, intensity 34
(0 2 0), 2θ = 30.7°, intensity 100
(3 1 -2), 2θ = 30.9°, intensity 66
(2 2 2), 2θ = 43.6°, intensity 34
(8 0 -2), 2θ = 44.7°, intensity 16
(5 3 0), 2θ = 54.6°, intensity 19
(3 3 -2), 2θ = 54.8°, intensity 14
(0 4 0), 2θ = 64.0°, intensity 14



6.
Computed XRD peak list of Fe3P2 for a wavelength of 1.5418 Å, from the GGA-PBE geometry in Alexandria.
Intensities are scaled so that the largest is 100.

Atomic structure:
Cell: 3.6190 3.6190 5.0771 Å, 90.00 90.00 120.00°
Space group P-3m1 (No. 164)
Asymmetric unit:
Fe1 0.0000 0.0000 0.0000 [1 per cell]
Fe2 0.3333 0.6667 0.3339 [2 per cell]
P1 0.3333 0.6667 0.7725 [2 per cell]

Principal peaks in the range 2θ = 15–90°, in order of rising 2θ:
(0 1 1), 2θ = 33.6°, intensity 88
(1 0 2), 2θ = 46.0°, intensity 100
(1 1 0), 2θ = 50.4°, intensity 86
(2 0 1), 2θ = 62.0°, intensity 13
(0 2 2), 2θ = 70.6°, intensity 25
(1 1 3), 2θ = 77.2°, intensity 17
(0 1 4), 2θ = 81.9°, intensity 12
(1 2 1), 2θ = 83.9°, intensity 10



7.
Computed XRD peak list of ZrSc5 for a wavelength of 1.5418 Å, from the GGA-PBE geometry in Alexandria.
Intensities are scaled so that the largest is 100.

Atomic structure:
Cell: 4.581 13.755 4.582 Å, 90.00 90.00 90.00°
Space group Cmmm (No. 65)
Asymmetric unit:
Zr1 0.000 0.000 0.000 [2 per cell]
Sc1 0.000 0.162 0.500 [4 per cell]
Sc2 0.000 0.338 0.000 [4 per cell]
Sc3 0.000 0.500 0.500 [2 per cell]

Principal peaks in the range 2θ = 15–90°, in order of rising 2θ:
(1 1 0), 2θ = 20.4°, intensity 4
(0 2 1), 2θ = 23.3°, intensity 3
(1 1 1), 2θ = 28.3°, intensity 3
(1 3 1), 2θ = 33.9°, intensity 100
(2 0 0), 2θ = 39.3°, intensity 48
(2 0 2), 2θ = 56.8°, intensity 30
(3 3 1), 2θ = 67.8°, intensity 34
(2 6 2), 2θ = 71.3°, intensity 10